Entry 1:
Computed powder X-ray diffraction pattern
Compound: SmZn5Au7
Radiation: Cu Kα
Structure: a structure optimized by DFT (GGA-PBE)

Top 12 peaks for 5° ≤ 2θ ≤ 70°, low angle first:
2θ (°)  I (rel.)  (hkl)
27.09  36  0 2 2
33.08  82  1 3 0
33.60  66  2 0 0
33.75  39  1 0 3
38.60  100  1 3 2
38.92  58  1 2 3
39.05  31  2 0 2
39.23  38  0 0 4
43.12  35  0 4 2
43.69  81  2 2 2
43.99  31  1 1 4
69.44  41  2 6 0

Crystal structure
```
data_SmZn5Au7
_cell_length_a 5.334
_cell_length_b 9.429
_cell_length_c 9.187
_cell_angle_alpha 90.00
_cell_angle_beta 90.00
_cell_angle_gamma 90.00
_symmetry_space_group_name_H-M 'I m m 2'
_symmetry_Int_Tables_number 44
loop_
_symmetry_equiv_pos_as_xyz
'x,y,z'
'-x,-y,z'
'-x,y,z'
'x,-y,z'
'x+1/2,y+1/2,z+1/2'
'-x+1/2,-y+1/2,z+1/2'
'-x+1/2,y+1/2,z+1/2'
'x+1/2,-y+1/2,z+1/2'
loop_
_atom_site_label
_atom_site_type_symbol
_atom_site_fract_x
_atom_site_fract_y
_atom_site_fract_z
Sm1 Sm 0.000 0.000 0.000
Zn1 Zn 0.000 0.500 0.256
Zn2 Zn 0.248 0.250 0.737
Au1 Au 0.000 0.000 0.342
Au2 Au 0.000 0.000 0.667
Au3 Au 0.000 0.308 0.480
Au4 Au 0.000 0.338 0.995
Au5 Au 0.000 0.500 0.720
```



Entry 2:
Computed powder X-ray diffraction pattern
Compound: SmZnAu3
Radiation: Cu Kα
Structure: a structure optimized by DFT (GGA-PBE)

Top 12 peaks for 5° ≤ 2θ ≤ 70°, low angle first:
2θ (°)  I (rel.)  (hkl)
33.23  13  2 1 2
35.82  90  1 1 3
36.31  100  3 1 1
37.29  57  0 2 0
43.72  11  2 0 4
44.36  12  4 0 2
45.90  26  3 1 3
56.62  12  4 0 4
58.81  13  2 2 4
66.30  15  1 3 3
66.62  25  3 3 1
69.77  13  4 2 4

Crystal structure
```
data_SmZnAu3
_cell_length_a 9.094
_cell_length_b 4.822
_cell_length_c 9.302
_cell_angle_alpha 90.00
_cell_angle_beta 90.00
_cell_angle_gamma 90.00
_symmetry_space_group_name_H-M 'P n m a'
_symmetry_Int_Tables_number 62
loop_
_symmetry_equiv_pos_as_xyz
'x,y,z'
'-x,-y,-z'
'-x+1/2,-y,z+1/2'
'x+1/2,y,-z+1/2'
'x+1/2,-y+1/2,-z+1/2'
'-x+1/2,y+1/2,z+1/2'
'-x,y+1/2,-z'
'x,-y+1/2,z'
loop_
_atom_site_label
_atom_site_type_symbol
_atom_site_fract_x
_atom_site_fract_y
_atom_site_fract_z
Sm1 Sm 0.237 0.250 0.004
Zn1 Zn 0.103 0.250 0.667
Au1 Au 0.076 0.250 0.388
Au2 Au 0.108 0.750 0.845
Au3 Au 0.110 0.750 0.159
```



Entry 3:
Computed powder X-ray diffraction pattern
Compound: Sm2Zn16Au
Radiation: Cu Kα
Structure: a structure optimized by DFT (GGA-PBE)

Top 12 peaks for 5° ≤ 2θ ≤ 70°, low angle first:
2θ (°)  I (rel.)  (hkl)
13.13  17  1 0 1
28.22  25  1 1 3
29.23  16  1 0 4
34.36  63  3 0 0
35.46  42  0 2 4
39.88  87  2 2 0
40.11  100  0 3 3
40.82  61  0 0 6
41.07  34  2 0 5
45.03  42  2 2 3
58.39  24  2 2 6
65.42  15  3 3 3

Crystal structure
```
data_Sm2Zn16Au
_cell_length_a 9.0421
_cell_length_b 9.0421
_cell_length_c 13.2754
_cell_angle_alpha 90.00
_cell_angle_beta 90.00
_cell_angle_gamma 120.00
_symmetry_space_group_name_H-M 'R 3 m'
_symmetry_Int_Tables_number 160
_symmetry_space_group_name_Hall 'R 3 -2"'
loop_
_atom_site_label
_atom_site_type_symbol
_atom_site_fract_x
_atom_site_fract_y
_atom_site_fract_z
Sm1 Sm 0.0000 0.0000 0.0000
Sm2 Sm 0.0000 0.0000 0.3269
Zn1 Zn 0.0000 0.0000 0.5610
Zn2 Zn 0.0003 0.2953 0.6637
Zn3 Zn 0.0026 0.5013 0.1635
Zn4 Zn 0.0102 0.5051 0.8159
Zn5 Zn 0.1716 0.3433 0.8438
Au1 Au 0.0000 0.0000 0.7646
```



Entry 4:
Computed powder X-ray diffraction pattern
Compound: SmZn4Au
Radiation: Cu Kα
Structure: a structure optimized by DFT (GGA-PBE)

Top 12 peaks for 5° ≤ 2θ ≤ 70°, low angle first:
2θ (°)  I (rel.)  (hkl)
10.96  58  0 2 0
26.47  27  0 0 2
30.20  78  1 3 1
34.70  96  1 1 2
35.94  34  0 6 1
37.70  100  1 5 1
43.03  51  0 6 2
43.46  51  2 0 0
44.93  28  1 7 0
46.28  25  1 1 3
54.47  27  0 0 4
62.81  39  2 6 2

Crystal structure
```
data_SmZn4Au
_cell_length_a 4.165
_cell_length_b 16.145
_cell_length_c 6.735
_cell_angle_alpha 90.00
_cell_angle_beta 90.00
_cell_angle_gamma 90.00
_symmetry_space_group_name_H-M 'C m c m'
_symmetry_Int_Tables_number 63
_symmetry_space_group_name_Hall '-C 2c 2'
loop_
_atom_site_label
_atom_site_type_symbol
_atom_site_fract_x
_atom_site_fract_y
_atom_site_fract_z
Sm1 Sm 0.000 0.119 0.250
Zn1 Zn 0.000 0.070 0.750
Zn2 Zn 0.000 0.335 0.059
Zn3 Zn 0.000 0.500 0.000
Au1 Au 0.000 0.235 0.750
```